Structure and calculated XRD peak list of Th6NiBr15 (DFT lattice parameters and positions (GGA-PBE); Cu Kα, 1.54184 Å).
Peak positions follow from Bragg's law for the DFT cell and can differ from measured ones.

Principal peaks in the range 10 to 90 degrees two-theta, sorted by position:
d/Å  2θ (°)  I (rel.)
8.348  10.60  779
4.819  18.41  310
3.155  28.29  363
2.951  30.28  1000
2.087  43.36  738
1.320  71.48  324

```
data_Th6NiBr15
_chemical_formula_sum 'Th12 Ni2 Br30'
_cell_length_a 11.805
_cell_length_b 11.805
_cell_length_c 11.805
_cell_angle_alpha 90.00
_cell_angle_beta 90.00
_cell_angle_gamma 90.00
_symmetry_space_group_name_H-M 'I m -3 m'
_symmetry_Int_Tables_number 229
_symmetry_space_group_name_Hall '-I 4 2 3'
loop_
_atom_site_label
_atom_site_fract_x
_atom_site_fract_y
_atom_site_fract_z
Th1 0.000 0.000 0.239
Ni1 0.000 0.000 0.000
Br1 0.000 0.000 0.500
Br2 0.000 0.249 0.249
```